No. 1
Simulated XRD peak list of CuAg2Sb2 for Cu Kα (weighted mean of Kα1 and Kα2), from a PBE-relaxed structure.
Intensities are scaled so that the largest is 100.

Main lines, by angle (10° ≤ 2θ ≤ 80°):
Position (°2θ)  intensity
35.26  100
40.58  27
41.65  18
58.13  13
59.55  17
71.88  14

Structure:
```
CuAg2Sb2
1.0
7.030 0.000 0.000
0.000 7.030 0.000
0.000 0.000 4.337
Cu Ag Sb
2 4 4
Cartesian
0.000 0.000 0.000 Cu
3.515 3.515 0.000 Cu
1.015 2.500 0.000 Ag
2.500 6.015 0.000 Ag
4.531 1.015 0.000 Ag
6.015 4.531 0.000 Ag
1.172 4.687 2.168 Sb
2.343 1.172 2.168 Sb
4.687 5.858 2.168 Sb
5.858 2.343 2.168 Sb
```

No. 2
Simulated XRD peak list of LaMgSiPt6 for Cu Kα (weighted mean of Kα1 and Kα2), from a PBE-relaxed structure.
Intensities are scaled so that the largest is 100.

Main lines, by angle (10° ≤ 2θ ≤ 80°):
Position (°2θ)  intensity
31.74  30
32.93  100
35.88  31
39.04  39
45.68  20
46.39  49

Structure:
```
LaMgSiPt6
1.0
-3.367 4.614 5.638
3.367 -4.614 5.638
3.367 4.614 -5.638
La Mg Si Pt
2 2 2 12
Cartesian
0.000 2.307 1.965 La
3.367 2.307 3.672 La
1.683 2.307 -2.819 Mg
1.683 -2.307 2.819 Mg
3.367 0.000 0.000 Si
0.000 0.000 5.638 Si
1.510 -0.077 1.410 Pt
5.223 -0.077 1.410 Pt
3.367 -2.307 4.721 Pt
3.367 2.307 0.793 Pt
1.510 4.538 -1.410 Pt
1.856 -0.077 4.227 Pt
1.510 4.691 1.410 Pt
1.856 0.077 7.048 Pt
0.000 2.307 4.845 Pt
0.000 6.921 0.916 Pt
-1.856 4.691 4.227 Pt
1.856 4.691 4.227 Pt
```